(1)
Structure and theoretical powder diffractogram of Dy2CuPd (a DFT-relaxed cell (PBE, Alexandria); copper Kα).
Kinematic intensities with the Lorentz-polarization factor, no thermal factor.

Atomic structure:
Unit cell a=5.524 b=4.564 c=7.438 alpha=90.00 beta=109.62 gamma=90.00
Atoms (fractional coordinates):
Dy: 0.222 0.250 0.430
Dy: 0.223 0.250 0.931
Dy: 0.777 0.750 0.069
Dy: 0.778 0.750 0.570
Cu: 0.343 0.750 0.709
Cu: 0.657 0.250 0.291
Pd: 0.342 0.750 0.213
Pd: 0.658 0.250 0.787

Principal peaks in the range 5° ≤ 2θ ≤ 70°, sorted by position:
d/Å	Rel. int.
3.431	22
2.778	100
2.602	26
2.537	31
2.282	33
2.217	55



(2)
Structure and theoretical powder diffractogram of VHgTe2 (a DFT-relaxed cell (PBE, Alexandria); copper Kα).
Kinematic intensities with the Lorentz-polarization factor, no thermal factor.

Atomic structure:
Unit cell a=3.538 b=6.619 c=9.940 alpha=83.43 beta=82.90 gamma=74.57
Atoms (fractional coordinates):
V: 0.094 0.285 0.035
V: 0.906 0.715 0.965
Hg: 0.055 0.745 0.517
Hg: 0.945 0.255 0.483
Te: 0.311 0.993 0.839
Te: 0.427 0.531 0.164
Te: 0.573 0.469 0.836
Te: 0.689 0.007 0.161

Principal peaks in the range 5° ≤ 2θ ≤ 70°, sorted by position:
d/Å	Rel. int.
3.276	100
3.116	43
2.951	50
2.929	50
2.779	63
2.688	54



(3)
Structure and theoretical powder diffractogram of LiPb4 (a DFT-relaxed cell (PBE, Alexandria); copper Kα).
Kinematic intensities with the Lorentz-polarization factor, no thermal factor.

Atomic structure:
Unit cell a=5.423 b=10.309 c=5.421 alpha=90.00 beta=90.00 gamma=90.00
Atoms (fractional coordinates):
Li: 0.000 0.000 0.000
Li: 0.500 0.500 0.000
Pb: 0.020 0.341 0.000
Pb: 0.107 0.151 0.500
Pb: 0.393 0.651 0.500
Pb: 0.480 0.841 0.000
Pb: 0.520 0.159 0.000
Pb: 0.607 0.349 0.500
Pb: 0.893 0.849 0.500
Pb: 0.980 0.659 0.000

Principal peaks in the range 5° ≤ 2θ ≤ 70°, sorted by position:
d/Å	Rel. int.
5.154	24
3.593	75
3.076	26
2.711	53
2.559	100
1.534	23



(4)
Structure and theoretical powder diffractogram of Ho8Te2Ru3 (a DFT-relaxed cell (PBE, Alexandria); copper Kα).
Kinematic intensities with the Lorentz-polarization factor, no thermal factor.

Atomic structure:
Unit cell a=8.997 b=4.824 c=8.998 alpha=90.00 beta=114.67 gamma=90.00
Atoms (fractional coordinates):
Ho: 0.105 0.000 0.395
Ho: 0.149 0.500 0.863
Ho: 0.362 0.500 0.649
Ho: 0.391 0.000 0.109
Ho: 0.609 0.000 0.891
Ho: 0.638 0.500 0.351
Ho: 0.851 0.500 0.137
Ho: 0.895 0.000 0.605
Te: 0.242 0.500 0.259
Te: 0.758 0.500 0.741
Ru: 0.251 0.000 0.752
Ru: 0.500 0.500 0.000
Ru: 0.749 0.000 0.248

Principal peaks in the range 5° ≤ 2θ ≤ 70°, sorted by position:
d/Å	Rel. int.
3.422	20
2.539	100
2.428	26
2.412	25
1.711	18
1.416	19



(5)
Structure and theoretical powder diffractogram of SrMg14Zr (a DFT-relaxed cell (PBE, Alexandria); copper Kα).
Kinematic intensities with the Lorentz-polarization factor, no thermal factor.

Atomic structure:
Unit cell a=6.816 b=6.816 c=8.283 alpha=90.00 beta=90.00 gamma=90.08
Atoms (fractional coordinates):
Sr: 0.000 0.000 0.000
Mg: 0.000 0.000 0.500
Mg: 0.000 0.500 0.000
Mg: 0.000 0.500 0.500
Mg: 0.263 0.263 0.260
Mg: 0.263 0.263 0.740
Mg: 0.264 0.736 0.260
Mg: 0.264 0.736 0.740
Mg: 0.500 0.000 0.000
Mg: 0.500 0.000 0.500
Mg: 0.500 0.500 0.500
Mg: 0.736 0.264 0.260
Mg: 0.736 0.264 0.740
Mg: 0.737 0.737 0.260
Mg: 0.737 0.737 0.740
Zr: 0.500 0.500 0.000

Principal peaks in the range 5° ≤ 2θ ≤ 70°, sorted by position:
d/Å	Rel. int.
8.283	18
4.166	19
2.631	100
2.410	39
1.571	19
1.430	27



(6)
Structure and theoretical powder diffractogram of NaPmSe2O6 (a DFT-relaxed cell (PBE, Alexandria); copper Kα).
Kinematic intensities with the Lorentz-polarization factor, no thermal factor.

Atomic structure:
Unit cell a=6.844 b=6.844 c=6.844 alpha=47.28 beta=47.28 gamma=47.28
Atoms (fractional coordinates):
Na: 0.000 0.000 0.000
Pm: 0.500 0.500 0.500
Se: 0.283 0.283 0.283
Se: 0.717 0.717 0.717
O: 0.049 0.745 0.473
O: 0.255 0.527 0.951
O: 0.473 0.049 0.745
O: 0.527 0.951 0.255
O: 0.745 0.473 0.049
O: 0.951 0.255 0.527

Principal peaks in the range 5° ≤ 2θ ≤ 70°, sorted by position:
d/Å	Rel. int.
4.599	63
3.287	100
2.890	51
2.744	56
1.671	22
1.628	25



(7)
Structure and theoretical powder diffractogram of NaTbCN2 (a DFT-relaxed cell (PBE, Alexandria); copper Kα).
Kinematic intensities with the Lorentz-polarization factor, no thermal factor.

Atomic structure:
Unit cell a=6.337 b=5.283 c=7.201 alpha=90.00 beta=116.60 gamma=90.00
Atoms (fractional coordinates):
Na: 0.000 0.209 0.250
Na: 0.000 0.791 0.750
Tb: 0.500 0.449 0.750
Tb: 0.500 0.551 0.250
C: 0.500 0.000 0.000
C: 0.500 0.000 0.500
N: 0.449 0.223 0.441
N: 0.449 0.777 0.941
N: 0.551 0.223 0.059
N: 0.551 0.777 0.559

Principal peaks in the range 5° ≤ 2θ ≤ 70°, sorted by position:
d/Å	Rel. int.
5.666	100
5.283	42
3.867	64
2.957	39
2.833	28
2.749	27



(8)
Structure and theoretical powder diffractogram of SrAcRhCl (a DFT-relaxed cell (PBE, Alexandria); copper Kα).
Kinematic intensities with the Lorentz-polarization factor, no thermal factor.

Atomic structure:
Unit cell a=8.405 b=8.405 c=8.405 alpha=29.27 beta=29.27 gamma=29.27
Atoms (fractional coordinates):
Sr: 0.000 0.000 0.000
Ac: 0.193 0.193 0.193
Rh: 0.588 0.588 0.588
Cl: 0.759 0.759 0.759

Principal peaks in the range 5° ≤ 2θ ≤ 70°, sorted by position:
d/Å	Rel. int.
8.039	75
3.518	52
2.925	100
2.515	28
2.124	44
2.017	28